# 1
For Sr3Cu3P4O16, a crystal structure in the Materials Project, relaxed with PBE gives the calculated PXRD pattern in this record (λ = 1.5418 Å (Cu Kα)).
Neutral-atom scattering factors, no anomalous dispersion.

Principal peaks in the range 10 to 90 degrees two-theta, in order of rising 2θ:
11.41°, I 70
18.66°, I 47
19.03°, I 35
20.13°, I 25
26.53°, I 71
29.39°, I 38
30.57°, I 100
31.15°, I 41
31.42°, I 79
33.95°, I 88
35.88°, I 65
48.23°, I 27

Cell and atoms:
```
Sr3Cu3P4O16
1.0
9.1810 -2.5030 0.0000
9.1810 2.5030 0.0000
-7.9601 0.0000 15.5171
Sr Cu P O
6 6 8 32
direct
0.0430 0.6533 0.8630
0.2122 0.7878 0.7500
0.3467 0.9570 0.6370
0.6533 0.0430 0.3630
0.7878 0.2122 0.2500
0.9570 0.3467 0.1370
0.0000 0.5000 0.0000
0.1360 0.6630 0.5301
0.3370 0.8640 0.9699
0.5000 0.0000 0.5000
0.6630 0.1360 0.0301
0.8640 0.3370 0.4699
0.0235 0.5384 0.6198
0.2812 0.6848 0.3988
0.3152 0.7188 0.1012
0.4616 0.9765 0.8802
0.5384 0.0235 0.1198
0.6848 0.2812 0.8988
0.7188 0.3152 0.6012
0.9765 0.4616 0.3802
0.1022 0.4631 0.7053
0.1063 0.8003 0.3124
0.1295 0.7422 0.0301
0.1441 0.2874 0.5462
0.1513 0.5797 0.6223
0.1884 0.6309 0.4225
0.1968 0.3009 0.9040
0.1997 0.8937 0.1876
0.2578 0.8705 0.4699
0.2874 0.1441 0.0462
0.3009 0.1968 0.4040
0.3691 0.8116 0.0775
0.3839 0.6007 0.8862
0.3993 0.6161 0.6138
0.4203 0.8487 0.8777
0.4631 0.1022 0.2053
0.5369 0.8978 0.7947
0.5797 0.1513 0.1223
0.6007 0.3839 0.3862
0.6161 0.3993 0.1138
0.6309 0.1884 0.9225
0.6991 0.8032 0.5960
0.7126 0.8559 0.9538
0.7422 0.1295 0.5301
0.8003 0.1063 0.8124
0.8032 0.6991 0.0960
0.8116 0.3691 0.5775
0.8487 0.4203 0.3777
0.8559 0.7126 0.4538
0.8705 0.2578 0.9699
0.8937 0.1997 0.6876
0.8978 0.5369 0.2947
```

# 2
For La7ScAl8O24, a crystal structure in the Materials Project, relaxed with PBE gives the calculated PXRD pattern in this record (λ = 1.5418 Å (Cu Kα)).
Neutral-atom scattering factors, no anomalous dispersion.

Principal peaks in the range 10 to 90 degrees two-theta, in order of rising 2θ:
16.56°, I 4
23.50°, I 42
33.48°, I 100
41.31°, I 43
48.07°, I 38
54.18°, I 20
59.85°, I 39
70.34°, I 22
75.32°, I 10
80.18°, I 17
84.98°, I 13
89.74°, I 8

Cell and atoms:
```
La7ScAl8O24
1.0
7.5708 0.0000 0.0000
0.0000 7.5708 0.0000
0.0000 0.0000 7.5708
La Sc Al O
7 1 8 24
direct
0.0000 0.0000 0.0000
0.0000 0.0000 0.5000
0.0000 0.5000 0.0000
0.0000 0.5000 0.5000
0.5000 0.0000 0.0000
0.5000 0.0000 0.5000
0.5000 0.5000 0.0000
0.5000 0.5000 0.5000
0.2512 0.2512 0.2512
0.2512 0.2512 0.7488
0.2512 0.7488 0.2512
0.2512 0.7488 0.7488
0.7488 0.2512 0.2512
0.7488 0.2512 0.7488
0.7488 0.7488 0.2512
0.7488 0.7488 0.7488
0.0000 0.2502 0.2502
0.0000 0.2502 0.7498
0.0000 0.7498 0.2502
0.0000 0.7498 0.7498
0.2502 0.0000 0.2502
0.2502 0.0000 0.7498
0.2502 0.2502 0.0000
0.2502 0.7498 0.0000
0.2524 0.2524 0.5000
0.2524 0.5000 0.2524
0.2524 0.5000 0.7476
0.2524 0.7476 0.5000
0.5000 0.2524 0.2524
0.5000 0.2524 0.7476
0.5000 0.7476 0.2524
0.5000 0.7476 0.7476
0.7476 0.2524 0.5000
0.7476 0.5000 0.2524
0.7476 0.5000 0.7476
0.7476 0.7476 0.5000
0.7498 0.0000 0.2502
0.7498 0.0000 0.7498
0.7498 0.2502 0.0000
0.7498 0.7498 0.0000
```

# 3
For Ca4Si2O7F2, a crystal structure in the Materials Project, relaxed with PBE gives the calculated PXRD pattern in this record (λ = 1.5418 Å (Cu Kα)).
Neutral-atom scattering factors, no anomalous dispersion.

Principal peaks in the range 10 to 90 degrees two-theta, in order of rising 2θ:
27.02°, I 29
28.90°, I 100
30.10°, I 14
30.25°, I 13
30.52°, I 24
30.76°, I 52
43.43°, I 12
44.31°, I 15
47.91°, I 30
49.27°, I 16
49.57°, I 15
52.27°, I 11

Cell and atoms:
```
Ca4Si2O7F2
1.0
7.5957 0.0000 0.0000
0.0000 10.6253 0.0000
-3.6814 0.0000 10.4165
Ca Si O F
16 8 28 8
direct
0.0291 0.0871 0.3152
0.0291 0.4129 0.8152
0.1632 0.6337 0.5836
0.1632 0.8663 0.0836
0.3315 0.1371 0.9276
0.3315 0.3629 0.4276
0.4689 0.5973 0.1989
0.4689 0.9027 0.6989
0.5311 0.0973 0.3011
0.5311 0.4027 0.8011
0.6685 0.6371 0.5724
0.6685 0.8629 0.0724
0.8368 0.1337 0.9164
0.8368 0.3663 0.4164
0.9709 0.5871 0.1848
0.9709 0.9129 0.6848
0.2263 0.1907 0.6322
0.2263 0.3093 0.1322
0.3475 0.6888 0.8768
0.3475 0.8112 0.3768
0.6525 0.1888 0.6232
0.6525 0.3112 0.1232
0.7737 0.6907 0.8678
0.7737 0.8093 0.3678
0.0895 0.2361 0.4912
0.0895 0.2639 0.9912
0.2145 0.0424 0.6642
0.2145 0.4576 0.1642
0.2218 0.7231 0.2581
0.2218 0.7769 0.7581
0.2289 0.2238 0.2564
0.2289 0.2762 0.7564
0.3029 0.5413 0.8389
0.3029 0.9587 0.3389
0.3598 0.7318 0.0217
0.3598 0.7682 0.5217
0.4358 0.2265 0.6209
0.4358 0.2735 0.1209
0.5642 0.7265 0.8791
0.5642 0.7735 0.3791
0.6402 0.2318 0.4783
0.6402 0.2682 0.9783
0.6971 0.0413 0.6611
0.6971 0.4587 0.1611
0.7711 0.7238 0.2436
0.7711 0.7762 0.7436
0.7782 0.2231 0.2419
0.7782 0.2769 0.7419
0.7855 0.5424 0.8358
0.7855 0.9576 0.3358
0.9105 0.7361 0.0088
0.9105 0.7639 0.5088
0.0756 0.9999 0.8964
0.0756 0.5001 0.3964
0.4299 0.5052 0.6024
0.4299 0.9948 0.1024
0.5701 0.0052 0.8976
0.5701 0.4948 0.3976
0.9244 0.0001 0.1036
0.9244 0.4999 0.6036
```

# 4
For Rb2LiCeF6, a crystal structure in the Materials Project, relaxed with PBE gives the calculated PXRD pattern in this record (λ = 1.5418 Å (Cu Kα)).
Neutral-atom scattering factors, no anomalous dispersion.

Principal peaks in the range 10 to 90 degrees two-theta, in order of rising 2θ:
17.27°, I 46
28.39°, I 100
33.42°, I 31
34.95°, I 11
40.58°, I 46
44.41°, I 16
50.27°, I 41
53.55°, I 10
58.74°, I 28
61.71°, I 10
66.50°, I 19
80.90°, I 22

Cell and atoms:
```
Rb2LiCeF6
1.0
0.0000 4.4461 4.4461
4.4461 0.0000 4.4461
4.4461 4.4461 0.0000
Rb Li Ce F
2 1 1 6
direct
0.2500 0.2500 0.2500
0.7500 0.7500 0.7500
0.0000 0.0000 0.0000
0.5000 0.5000 0.5000
0.2418 0.2418 0.7582
0.2418 0.7582 0.2418
0.2418 0.7582 0.7582
0.7582 0.2418 0.2418
0.7582 0.2418 0.7582
0.7582 0.7582 0.2418
```

# 5
For UNiS3, a crystal structure in the Materials Project, relaxed with PBE gives the calculated PXRD pattern in this record (λ = 1.5418 Å (Cu Kα)).
Neutral-atom scattering factors, no anomalous dispersion.

Principal peaks in the range 10 to 90 degrees two-theta, in order of rising 2θ:
21.34°, I 23
22.27°, I 100
27.44°, I 49
29.07°, I 70
34.46°, I 34
36.63°, I 25
37.97°, I 38
39.36°, I 24
41.15°, I 27
41.25°, I 35
41.37°, I 31
43.46°, I 23

Cell and atoms:
```
UNiS3
1.0
7.0610 0.0000 0.0000
0.0000 8.3290 0.0000
0.0000 0.0000 5.9459
U Ni S
4 4 12
direct
0.1326 0.2500 0.0637
0.3674 0.7500 0.5637
0.6326 0.2500 0.4363
0.8674 0.7500 0.9363
0.0000 0.0000 0.5000
0.0000 0.5000 0.5000
0.5000 0.0000 0.0000
0.5000 0.5000 0.0000
0.0375 0.7500 0.3524
0.1667 0.5524 0.8281
0.1667 0.9476 0.8281
0.3333 0.0524 0.3281
0.3333 0.4476 0.3281
0.4625 0.2500 0.8524
0.5375 0.7500 0.1476
0.6667 0.5524 0.6719
0.6667 0.9476 0.6719
0.8333 0.0524 0.1719
0.8333 0.4476 0.1719
0.9625 0.2500 0.6476
```

- What is the formula in the fourth record?
  Rb2LiCeF6